Calculated powder diffractogram
Compound: Na2ZnPHO5
Radiation: copper Kα
Structure: a DFT-relaxed cell (GGA-PBE, the Materials Project)

a = 8.640 Å, b = 10.017 Å, c = 5.854 Å
α = 90.00°, β = 104.94°, γ = 90.00°
Space group P2_1/c (No. 14)
Inequivalent atoms, fractional coordinates:
Na1 0.115 0.170 0.354
Na2 0.197 0.644 0.814
Zn1 0.489 0.140 0.218
P1 0.203 0.008 0.863
H1 0.460 0.125 0.630
O1 0.079 0.106 0.718
O2 0.139 0.633 0.383
O3 0.270 0.065 0.123
O4 0.347 0.001 0.740
O5 0.484 0.693 0.942

The 10 most intense peaks (2θ = 10–90°), most intense first:
2θ = 29.17°, I 100; 2θ = 10.60°, I 95; 2θ = 24.30°, I 89; 2θ = 32.17°, I 86; 2θ = 31.62°, I 81; 2θ = 23.73°, I 70; 2θ = 33.38°, I 59; 2θ = 27.70°, I 58; 2θ = 27.82°, I 57; 2θ = 34.29°, I 39